Entry 1:
Structure and calculated powder XRD pattern of Na2U2CoH8C12O28 (a DFT-relaxed cell (GGA+U, the Materials Project); Cu Kα X-rays).
Kinematic intensities with the Lorentz-polarization factor, no thermal factor.

Structure:
a = 6.528 Å, b = 7.917 Å, c = 13.006 Å
α = 75.70°, β = 84.65°, γ = 67.67°
Space group P-1 (No. 2)
Symmetry-distinct sites (fractional):
Na  0.247  0.338  0.291 (multiplicity 2)
U  0.263  0.837  0.303 (multiplicity 2)
Co  0.000  0.500  0.000 (multiplicity 1)
H  0.148  0.693  0.826 (multiplicity 2)
H  0.251  0.478  0.819 (multiplicity 2)
H  0.306  0.561  0.094 (multiplicity 2)
H  0.416  0.352  0.076 (multiplicity 2)
C  0.024  0.090  0.479 (multiplicity 2)
C  0.191  0.250  0.726 (multiplicity 2)
C  0.197  0.090  0.061 (multiplicity 2)
C  0.285  0.045  0.719 (multiplicity 2)
C  0.303  0.887  0.044 (multiplicity 2)
C  0.474  0.432  0.475 (multiplicity 2)
O  0.017  0.669  0.275 (multiplicity 2)
O  0.043  0.787  0.467 (multiplicity 2)
O  0.131  0.100  0.392 (multiplicity 2)
O  0.133  0.229  0.983 (multiplicity 2)
O  0.147  0.966  0.724 (multiplicity 2)
O  0.181  0.099  0.158 (multiplicity 2)
O  0.193  0.564  0.868 (multiplicity 2)
O  0.278  0.445  0.098 (multiplicity 2)
O  0.322  0.762  0.132 (multiplicity 2)
O  0.331  0.323  0.733 (multiplicity 2)
O  0.361  0.855  0.955 (multiplicity 2)
O  0.389  0.499  0.382 (multiplicity 2)
O  0.484  0.733  0.471 (multiplicity 2)
O  0.493  0.972  0.710 (multiplicity 2)

Main lines, low angle first (5° ≤ 2θ ≤ 70°):
hkl 0 1 0, 12.4 deg, intensity 179
hkl 0 1 1, 12.8 deg, intensity 224
hkl 0 0 2, 14.1 deg, intensity 221
hkl 1 1 0, 15.3 deg, intensity 180
hkl 0 1 -1, 15.6 deg, intensity 1000
hkl 1 0 -1, 16.3 deg, intensity 799
hkl 0 1 2, 16.5 deg, intensity 465
hkl 0 0 3, 21.1 deg, intensity 243
hkl 1 2 0, 23.8 deg, intensity 192
hkl 2 0 -2, 32.9 deg, intensity 192

***

Entry 2:
Structure and calculated powder XRD pattern of FeO2 (a DFT-relaxed cell (GGA+U, the Materials Project); Cu Kα X-rays).
Kinematic intensities with the Lorentz-polarization factor, no thermal factor.

Structure:
a = 3.045 Å, b = 11.129 Å, c = 3.897 Å
α = 90.00°, β = 90.00°, γ = 90.00°
Space group Cmcm (No. 63)
Symmetry-distinct sites (fractional):
Fe  0.000  0.162  0.250 (multiplicity 4)
O  0.000  0.209  0.750 (multiplicity 4)
O  0.000  0.448  0.750 (multiplicity 4)

Main lines, low angle first (5° ≤ 2θ ≤ 70°):
hkl 0 2 0, 15.9 deg, intensity 528
hkl 0 2 1, 28.0 deg, intensity 1000
hkl 1 1 0, 30.4 deg, intensity 96
hkl 1 3 0, 38.2 deg, intensity 876
hkl 1 1 1, 38.4 deg, intensity 238
hkl 0 0 2, 46.6 deg, intensity 308
hkl 1 5 1, 56.4 deg, intensity 439
hkl 2 0 0, 60.8 deg, intensity 121
hkl 1 3 2, 61.8 deg, intensity 351
hkl 2 2 1, 68.3 deg, intensity 129

***

Entry 3:
Structure and calculated powder XRD pattern of Mn3O2F4 (a DFT-relaxed cell (GGA+U, the Materials Project); Cu Kα X-rays).
Kinematic intensities with the Lorentz-polarization factor, no thermal factor.

Structure:
a = 4.821 Å, b = 5.790 Å, c = 7.966 Å
α = 86.41°, β = 89.67°, γ = 88.71°
Space group P-1 (No. 2)
Symmetry-distinct sites (fractional):
Mn  0.000  0.000  0.000 (multiplicity 1)
Mn  0.005  0.335  0.650 (multiplicity 2)
Mn  0.459  0.177  0.324 (multiplicity 2)
Mn  0.500  0.500  0.000 (multiplicity 1)
O  0.184  0.374  0.429 (multiplicity 2)
O  0.316  0.222  0.096 (multiplicity 2)
F  0.197  0.709  0.125 (multiplicity 2)
F  0.203  0.036  0.751 (multiplicity 2)
F  0.296  0.527  0.783 (multiplicity 2)
F  0.323  0.861  0.450 (multiplicity 2)

Main lines, low angle first (5° ≤ 2θ ≤ 70°):
hkl 1 1 1, 25.9 deg, intensity 1000
hkl -1 1 1, 26.4 deg, intensity 919
hkl 1 1 -2, 33.6 deg, intensity 514
hkl 0 0 3, 33.9 deg, intensity 398
hkl 2 2 -1, 50.6 deg, intensity 309
hkl 1 1 4, 51.1 deg, intensity 292
hkl 1 -3 0, 51.5 deg, intensity 276
hkl 2 2 2, 53.2 deg, intensity 160
hkl -2 2 2, 54.4 deg, intensity 159
hkl 0 2 -4, 57.9 deg, intensity 168

***

Entry 4:
Structure and calculated powder XRD pattern of LiAlVO4 (a DFT-relaxed cell (GGA+U, the Materials Project); Cu Kα X-rays).
Kinematic intensities with the Lorentz-polarization factor, no thermal factor.

Structure:
a = 5.246 Å, b = 5.788 Å, c = 14.482 Å
α = 100.38°, β = 91.33°, γ = 91.33°
Space group P1 (No. 1)
Symmetry-distinct sites (fractional):
Li  0.000  0.000  0.000 (multiplicity 1)
Li  0.153  0.810  0.168 (multiplicity 1)
Li  0.329  0.135  0.342 (multiplicity 1)
Li  0.500  0.500  0.500 (multiplicity 1)
Li  0.653  0.311  0.668 (multiplicity 1)
Li  0.829  0.636  0.842 (multiplicity 1)
Al  0.155  0.563  0.668 (multiplicity 1)
Al  0.309  0.411  0.840 (multiplicity 1)
Al  0.487  0.739  0.002 (multiplicity 1)
Al  0.655  0.064  0.168 (multiplicity 1)
Al  0.809  0.910  0.340 (multiplicity 1)
Al  0.986  0.239  0.502 (multiplicity 1)
V  0.143  0.071  0.671 (multiplicity 1)
V  0.357  0.902  0.831 (multiplicity 1)
V  0.497  0.243  0.002 (multiplicity 1)
V  0.642  0.571  0.171 (multiplicity 1)
V  0.857  0.402  0.331 (multiplicity 1)
V  0.997  0.744  0.502 (multiplicity 1)
O  0.025  0.366  0.750 (multiplicity 1)
O  0.044  0.848  0.744 (multiplicity 1)
O  0.098  0.969  0.424 (multiplicity 1)
O  0.137  0.440  0.426 (multiplicity 1)
O  0.194  0.704  0.911 (multiplicity 1)
O  0.210  0.187  0.917 (multiplicity 1)
O  0.275  0.768  0.587 (multiplicity 1)
O  0.286  0.285  0.595 (multiplicity 1)
O  0.362  0.533  0.081 (multiplicity 1)
O  0.364  0.006  0.079 (multiplicity 1)
O  0.447  0.133  0.761 (multiplicity 1)
O  0.451  0.605  0.756 (multiplicity 1)
O  0.525  0.866  0.250 (multiplicity 1)
O  0.544  0.349  0.244 (multiplicity 1)
O  0.598  0.469  0.924 (multiplicity 1)
O  0.638  0.940  0.926 (multiplicity 1)
O  0.694  0.204  0.411 (multiplicity 1)
O  0.710  0.687  0.417 (multiplicity 1)
O  0.775  0.270  0.087 (multiplicity 1)
O  0.786  0.785  0.095 (multiplicity 1)
O  0.862  0.033  0.581 (multiplicity 1)
O  0.864  0.505  0.580 (multiplicity 1)
O  0.947  0.632  0.261 (multiplicity 1)
O  0.951  0.105  0.257 (multiplicity 1)

Main lines, low angle first (5° ≤ 2θ ≤ 70°):
hkl 1 0 -1, 17.9 deg, intensity 1000
hkl 0 2 2, 36.0 deg, intensity 73
hkl 1 0 5, 36.3 deg, intensity 78
hkl 0 2 -4, 36.7 deg, intensity 77
hkl -1 2 3, 42.9 deg, intensity 204
hkl 2 0 4, 43.4 deg, intensity 201
hkl 1 2 -5, 44.2 deg, intensity 189
hkl 1 2 7, 64.0 deg, intensity 55
hkl 0 4 -2, 64.4 deg, intensity 53
hkl 1 -2 9, 64.7 deg, intensity 53